Theoretical powder XRD pattern
Compound: CsNpF4
Radiation: Cu Ka
Structure: a structure optimized by DFT (GGA-PBE)
Peak positions follow from Bragg's law for the DFT cell and can differ from measured ones.

Cell and atoms:
```
data_CsNpF4
_chemical_formula_sum 'Cs4 Np4 F16'
_cell_length_a 6.6746
_cell_length_b 3.8646
_cell_length_c 16.9588
_cell_angle_alpha 90.00
_cell_angle_beta 90.00
_cell_angle_gamma 90.00
_symmetry_space_group_name_H-M 'P n m a'
_symmetry_Int_Tables_number 62
_symmetry_space_group_name_Hall '-P 2ac 2n'
loop_
_atom_site_label
_atom_site_type_symbol
_atom_site_fract_x
_atom_site_fract_y
_atom_site_fract_z
Cs1 Cs 0.2284 0.2500 0.1950
Np1 Np 0.2477 0.7500 0.4453
F1 F 0.0117 0.7500 0.9491
F2 F 0.1096 0.2500 0.8215
F3 F 0.1151 0.2500 0.3783
F4 F 0.1276 0.2500 0.5392
```

Most intense lines, 10 to 80 degrees two-theta, sorted by position:
2θ 10.43, rel. 31, (0 0 2); 2θ 24.88, rel. 100, (1 0 4); 2θ 26.71, rel. 42, (2 0 0); 2θ 27.18, rel. 86, (1 1 1); 2θ 27.97, rel. 40, (0 1 3); 2θ 39.06, rel. 45, (2 1 3); 2θ 44.74, rel. 28, (2 1 5); 2θ 46.27, rel. 24, (1 1 7); 2θ 47.46, rel. 25, (3 1 1); 2θ 53.92, rel. 25, (1 2 4)